Entry 1:
Calculated X-ray powder pattern of Ac7TlS5 for Cu Kα (λ = 1.5418 Å), from a structure optimized by DFT (PBE).

Atomic structure:
```
data_Ac7TlS5
_cell_length_a 14.332
_cell_length_b 4.358
_cell_length_c 26.163
_cell_angle_alpha 90.00
_cell_angle_beta 90.00
_cell_angle_gamma 90.00
_symmetry_space_group_name_H-M 'C 1 2/m 1'
_symmetry_Int_Tables_number 12
_symmetry_space_group_name_Hall '-C 2y'
loop_
_atom_site_label
_atom_site_type_symbol
_atom_site_fract_x
_atom_site_fract_y
_atom_site_fract_z
Ac1 Ac 0.022 0.000 0.250
Ac2 Ac 0.094 0.500 0.107
Ac3 Ac 0.094 0.500 0.393
Ac4 Ac 0.135 0.000 0.535
Ac5 Ac 0.135 0.000 0.964
Ac6 Ac 0.177 0.500 0.671
Ac7 Ac 0.177 0.500 0.828
Tl1 Tl 0.203 0.500 0.250
S1 S 0.000 0.500 0.000
S2 S 0.000 0.500 0.500
S3 S 0.041 0.000 0.639
S4 S 0.041 0.000 0.861
S5 S 0.228 0.000 0.068
S6 S 0.228 0.000 0.432
```

Principal peaks in the range 2θ from 10° to 90°, by angle:
- 25.33°, d 3.516, I = 52
- 25.78°, d 3.456, I = 20
- 26.90°, d 3.314, I = 100
- 27.34°, d 3.262, I = 43
- 28.55°, d 3.126, I = 85
- 29.58°, d 3.020, I = 58
- 41.45°, d 2.178, I = 55
- 43.12°, d 2.098, I = 19
- 49.32°, d 1.848, I = 20
- 50.10°, d 1.821, I = 38
- 50.56°, d 1.805, I = 20
- 67.44°, d 1.389, I = 22


Entry 2:
Calculated X-ray powder pattern of HfTi2P3 for Cu Kα (λ = 1.5418 Å), from a structure optimized by DFT (PBE).

Atomic structure:
```
data_HfTi2P3
_cell_length_a 3.439
_cell_length_b 9.561
_cell_length_c 6.085
_cell_angle_alpha 90.00
_cell_angle_beta 90.00
_cell_angle_gamma 90.00
_symmetry_space_group_name_H-M 'P m c 21'
_symmetry_Int_Tables_number 26
_symmetry_space_group_name_Hall 'P 2c -2'
loop_
_atom_site_label
_atom_site_type_symbol
_atom_site_fract_x
_atom_site_fract_y
_atom_site_fract_z
Hf1 Hf 0.000 0.128 0.000
Ti1 Ti 0.000 0.211 0.494
Ti2 Ti 0.500 0.490 0.504
P1 P 0.000 0.388 0.770
P2 P 0.500 0.060 0.668
P3 P 0.500 0.287 0.227
```

Principal peaks in the range 2θ from 10° to 90°, by angle:
- 17.27°, d 5.133, I = 56
- 23.67°, d 3.759, I = 93
- 27.56°, d 3.236, I = 59
- 29.36°, d 3.042, I = 53
- 31.31°, d 2.857, I = 42
- 31.69°, d 2.823, I = 50
- 35.38°, d 2.537, I = 94
- 39.55°, d 2.279, I = 48
- 40.71°, d 2.217, I = 100
- 41.01°, d 2.201, I = 68
- 41.38°, d 2.182, I = 71
- 46.25°, d 1.963, I = 46


Entry 3:
Calculated X-ray powder pattern of PmTa2Tl3O9 for Cu Kα (λ = 1.5418 Å), from a structure optimized by DFT (PBE).

Atomic structure:
```
data_PmTa2Tl3O9
_cell_length_a 5.9221
_cell_length_b 5.9221
_cell_length_c 7.5263
_cell_angle_alpha 90.00
_cell_angle_beta 90.00
_cell_angle_gamma 120.00
_symmetry_space_group_name_H-M 'P -3 m 1'
_symmetry_Int_Tables_number 164
_symmetry_space_group_name_Hall '-P 3 2"'
loop_
_atom_site_label
_atom_site_type_symbol
_atom_site_fract_x
_atom_site_fract_y
_atom_site_fract_z
Pm1 Pm 0.0000 0.0000 0.0000
Ta1 Ta 0.3333 0.6667 0.6633
Tl1 Tl 0.0000 0.0000 0.5000
Tl2 Tl 0.3333 0.6667 0.1974
O1 O 0.0000 0.5000 0.5000
O2 O 0.1747 0.3495 0.8023
```

Principal peaks in the range 2θ from 10° to 90°, by angle:
- 29.44°, d 3.034, I = 100
- 30.18°, d 2.961, I = 98
- 42.67°, d 2.119, I = 51
- 51.75°, d 1.766, I = 19
- 53.15°, d 1.723, I = 39
- 53.61°, d 1.710, I = 20
- 61.09°, d 1.517, I = 15
- 62.76°, d 1.481, I = 17
- 69.64°, d 1.350, I = 16
- 70.82°, d 1.331, I = 17
- 86.71°, d 1.123, I = 11
- 87.08°, d 1.119, I = 11


What is the formula in the first record? Ac7TlS5


Repeat the first record exactly.
Calculated X-ray powder pattern of Ac7TlS5 for Cu Kα (λ = 1.5418 Å), from a structure optimized by DFT (PBE).

Atomic structure:
```
data_Ac7TlS5
_cell_length_a 14.332
_cell_length_b 4.358
_cell_length_c 26.163
_cell_angle_alpha 90.00
_cell_angle_beta 90.00
_cell_angle_gamma 90.00
_symmetry_space_group_name_H-M 'C 1 2/m 1'
_symmetry_Int_Tables_number 12
_symmetry_space_group_name_Hall '-C 2y'
loop_
_atom_site_label
_atom_site_type_symbol
_atom_site_fract_x
_atom_site_fract_y
_atom_site_fract_z
Ac1 Ac 0.022 0.000 0.250
Ac2 Ac 0.094 0.500 0.107
Ac3 Ac 0.094 0.500 0.393
Ac4 Ac 0.135 0.000 0.535
Ac5 Ac 0.135 0.000 0.964
Ac6 Ac 0.177 0.500 0.671
Ac7 Ac 0.177 0.500 0.828
Tl1 Tl 0.203 0.500 0.250
S1 S 0.000 0.500 0.000
S2 S 0.000 0.500 0.500
S3 S 0.041 0.000 0.639
S4 S 0.041 0.000 0.861
S5 S 0.228 0.000 0.068
S6 S 0.228 0.000 0.432
```

Principal peaks in the range 2θ from 10° to 90°, by angle:
- 25.33°, d 3.516, I = 52
- 25.78°, d 3.456, I = 20
- 26.90°, d 3.314, I = 100
- 27.34°, d 3.262, I = 43
- 28.55°, d 3.126, I = 85
- 29.58°, d 3.020, I = 58
- 41.45°, d 2.178, I = 55
- 43.12°, d 2.098, I = 19
- 49.32°, d 1.848, I = 20
- 50.10°, d 1.821, I = 38
- 50.56°, d 1.805, I = 20
- 67.44°, d 1.389, I = 22


What is the formula in the third record? PmTa2Tl3O9


Which formula does entry 2 have? HfTi2P3